Entry 1:
Diffraction record for Sr3PbO. The PXRD pattern is theoretical, not measured: it uses a DFT-relaxed cell (PBE, the Materials Project) and λ = 1.5418 Å (Cu Kα).
Neutral-atom scattering factors, no anomalous dispersion.

Structure:
```
Sr3PbO
1.0
5.214 0.000 0.000
0.000 5.214 0.000
0.000 0.000 5.214
Sr Pb O
3 1 1
direct
0.000 0.000 0.500
0.000 0.500 0.000
0.500 0.000 0.000
0.500 0.500 0.500
0.000 0.000 0.000
```

The 10 most intense peaks (2θ = 10–90°), by intensity:
| 2θ/deg | d (Å) | I_rel |
| --- | --- | --- |
| 29.67 | 3.011 | 100.0 |
| 34.40 | 2.607 | 58.9 |
| 58.73 | 1.572 | 44.5 |
| 49.44 | 1.844 | 41.9 |
| 24.14 | 3.687 | 21.3 |
| 82.78 | 1.166 | 19.2 |
| 80.25 | 1.196 | 18.7 |
| 61.61 | 1.505 | 14.4 |
| 17.00 | 5.214 | 12.0 |
| 42.46 | 2.129 | 10.0 |


Entry 2:
Diffraction record for Ta8Pb6O25. The PXRD pattern is theoretical, not measured: it uses a DFT-relaxed cell (PBE, the Materials Project) and λ = 1.5418 Å (Cu Kα).
Neutral-atom scattering factors, no anomalous dispersion.

Structure:
```
Ta8Pb6O25
1.0
5.326 -5.352 0.000
5.326 5.352 0.000
-0.019 0.000 10.618
Ta Pb O
8 6 25
direct
0.122 0.122 0.373
0.124 0.624 0.374
0.374 0.368 0.123
0.376 0.876 0.626
0.630 0.123 0.877
0.632 0.626 0.877
0.877 0.370 0.123
0.878 0.878 0.627
0.135 0.643 0.892
0.357 0.865 0.108
0.375 0.374 0.633
0.626 0.625 0.367
0.630 0.123 0.368
0.877 0.370 0.632
0.126 0.384 0.065
0.126 0.866 0.684
0.128 0.373 0.443
0.134 0.874 0.316
0.313 0.188 0.251
0.314 0.563 0.249
0.316 0.066 0.500
0.318 0.682 0.500
0.437 0.686 0.751
0.442 0.066 0.745
0.442 0.184 0.004
0.442 0.558 0.000
0.616 0.874 0.935
0.623 0.376 0.806
0.624 0.377 0.194
0.625 0.375 0.500
0.627 0.872 0.557
0.806 0.194 0.000
0.811 0.063 0.748
0.812 0.687 0.749
0.816 0.558 0.996
0.934 0.558 0.255
0.934 0.684 0.500
0.936 0.064 0.500
0.937 0.189 0.252
```

The 10 most intense peaks (2θ = 10–90°), by intensity:
| 2θ/deg | d (Å) | I_rel |
| --- | --- | --- |
| 29.02 | 3.077 | 100.0 |
| 48.25 | 1.886 | 27.4 |
| 57.15 | 1.612 | 15.3 |
| 57.37 | 1.606 | 14.6 |
| 57.51 | 1.602 | 14.0 |
| 33.49 | 2.676 | 13.9 |
| 33.65 | 2.663 | 13.5 |
| 48.41 | 1.880 | 13.3 |
| 33.77 | 2.655 | 13.0 |
| 60.15 | 1.538 | 12.4 |


Entry 3:
Diffraction record for Ta4PbO11. The PXRD pattern is theoretical, not measured: it uses a DFT-relaxed cell (PBE, the Materials Project) and λ = 1.5418 Å (Cu Kα).
Neutral-atom scattering factors, no anomalous dispersion.

Structure:
```
Ta4PbO11
1.0
3.151 1.819 12.452
-3.151 1.819 12.452
0.000 -3.638 12.452
Ta Pb O
8 2 22
direct
0.000 0.357 0.643
0.132 0.868 0.500
0.250 0.250 0.250
0.357 0.643 0.000
0.500 0.132 0.868
0.643 0.000 0.357
0.750 0.750 0.750
0.868 0.500 0.132
0.418 0.418 0.418
0.582 0.582 0.582
0.000 0.757 0.243
0.003 0.328 0.513
0.025 0.804 0.513
0.156 0.156 0.156
0.196 0.975 0.487
0.243 0.000 0.757
0.251 0.500 0.749
0.328 0.513 0.003
0.344 0.344 0.344
0.487 0.196 0.975
0.487 0.672 0.997
0.500 0.749 0.251
0.513 0.003 0.328
0.513 0.025 0.804
0.656 0.656 0.656
0.672 0.997 0.487
0.749 0.251 0.500
0.757 0.243 0.000
0.804 0.513 0.025
0.844 0.844 0.844
0.975 0.487 0.196
0.997 0.487 0.672
```

The 10 most intense peaks (2θ = 10–90°), by intensity:
| 2θ/deg | d (Å) | I_rel |
| --- | --- | --- |
| 31.83 | 2.811 | 100.0 |
| 29.24 | 3.054 | 67.3 |
| 28.68 | 3.113 | 49.0 |
| 58.79 | 1.571 | 36.2 |
| 50.15 | 1.819 | 33.1 |
| 52.82 | 1.733 | 29.3 |
| 35.78 | 2.510 | 24.1 |
| 16.42 | 5.400 | 18.4 |
| 46.48 | 1.954 | 17.6 |
| 60.63 | 1.527 | 15.1 |


Entry 4:
Diffraction record for Ta2Pb2O7. The PXRD pattern is theoretical, not measured: it uses a DFT-relaxed cell (PBE, the Materials Project) and λ = 1.5418 Å (Cu Kα).
Neutral-atom scattering factors, no anomalous dispersion.

Structure:
```
Ta2Pb2O7
1.0
0.000 5.414 5.414
5.414 0.000 5.414
5.414 5.414 0.000
Ta Pb O
4 4 14
direct
0.000 0.000 0.000
0.000 0.000 0.500
0.000 0.500 0.000
0.500 0.000 0.000
0.000 0.500 0.500
0.500 0.000 0.500
0.500 0.500 0.000
0.500 0.500 0.500
0.059 0.059 0.691
0.059 0.691 0.059
0.059 0.691 0.691
0.309 0.309 0.941
0.309 0.941 0.309
0.309 0.941 0.941
0.375 0.375 0.375
0.625 0.625 0.625
0.691 0.059 0.059
0.691 0.059 0.691
0.691 0.691 0.059
0.941 0.309 0.309
0.941 0.309 0.941
0.941 0.941 0.309
```

The 10 most intense peaks (2θ = 10–90°), by intensity:
| 2θ/deg | d (Å) | I_rel |
| --- | --- | --- |
| 28.55 | 3.126 | 100.0 |
| 56.36 | 1.633 | 46.3 |
| 47.50 | 1.914 | 42.2 |
| 33.09 | 2.707 | 41.0 |
| 76.72 | 1.242 | 19.1 |
| 79.10 | 1.211 | 17.3 |
| 88.46 | 1.105 | 13.5 |
| 59.11 | 1.563 | 13.2 |
| 69.43 | 1.354 | 6.9 |
| 36.16 | 2.484 | 1.5 |


What did the fourth record say?
Diffraction record for Ta2Pb2O7. The PXRD pattern is theoretical, not measured: it uses a DFT-relaxed cell (PBE, the Materials Project) and λ = 1.5418 Å (Cu Kα).
Neutral-atom scattering factors, no anomalous dispersion.

Structure:
```
Ta2Pb2O7
1.0
0.000 5.414 5.414
5.414 0.000 5.414
5.414 5.414 0.000
Ta Pb O
4 4 14
direct
0.000 0.000 0.000
0.000 0.000 0.500
0.000 0.500 0.000
0.500 0.000 0.000
0.000 0.500 0.500
0.500 0.000 0.500
0.500 0.500 0.000
0.500 0.500 0.500
0.059 0.059 0.691
0.059 0.691 0.059
0.059 0.691 0.691
0.309 0.309 0.941
0.309 0.941 0.309
0.309 0.941 0.941
0.375 0.375 0.375
0.625 0.625 0.625
0.691 0.059 0.059
0.691 0.059 0.691
0.691 0.691 0.059
0.941 0.309 0.309
0.941 0.309 0.941
0.941 0.941 0.309
```

The 10 most intense peaks (2θ = 10–90°), by intensity:
| 2θ/deg | d (Å) | I_rel |
| --- | --- | --- |
| 28.55 | 3.126 | 100.0 |
| 56.36 | 1.633 | 46.3 |
| 47.50 | 1.914 | 42.2 |
| 33.09 | 2.707 | 41.0 |
| 76.72 | 1.242 | 19.1 |
| 79.10 | 1.211 | 17.3 |
| 88.46 | 1.105 | 13.5 |
| 59.11 | 1.563 | 13.2 |
| 69.43 | 1.354 | 6.9 |
| 36.16 | 2.484 | 1.5 |